The following is a computed powder XRD pattern of La3SnPt8. It was derived from a PBE-relaxed structure, using CuKα.
Neutral-atom scattering factors, no anomalous dispersion.

Top 10 peaks for 2θ from 10° to 90°, low angle first:
- 2θ = 19.60°, rel. 21
- 2θ = 38.07°, rel. 100
- 2θ = 38.25°, rel. 28
- 2θ = 39.80°, rel. 52
- 2θ = 40.11°, rel. 19
- 2θ = 46.38°, rel. 17
- 2θ = 61.41°, rel. 19
- 2θ = 67.48°, rel. 21
- 2θ = 67.89°, rel. 16
- 2θ = 81.49°, rel. 15

Structure:
```
La3SnPt8
1.0
2.776 1.603 8.993
-2.776 1.603 8.993
0.000 -3.206 8.993
La Sn Pt
3 1 8
Cartesian
0.000 0.000 0.000 La
0.000 0.000 3.494 La
0.000 0.000 16.540 La
0.000 0.000 13.057 Sn
-1.403 -0.810 10.626 Pt
0.000 -1.616 6.187 Pt
-1.400 0.808 6.187 Pt
0.000 0.000 8.413 Pt
1.403 -0.810 10.626 Pt
0.000 1.620 10.626 Pt
1.400 0.808 6.187 Pt
0.000 0.000 21.921 Pt
```